# NaGeSe2O8
Calculated powder diffractogram, copper Kα. Input: a GGA-PBE-relaxed structure.
Intensities are scaled so that the largest is 100.

Peak list (10 most intense, 2θ from 10° to 90°, sorted by position)
2theta	I (rel.)	h k l
15.25	100.0	0 0 1
25.39	34.8	1 1 1
31.61	13.6	2 0 -2
31.79	25.9	0 2 0
32.15	30.7	3 1 0
32.39	44.4	3 1 -1
35.44	17.6	0 2 1
38.10	13.5	1 1 2
38.88	14.9	3 1 1
56.82	17.5	2 2 -3

Crystal structure
a b c (Å): 9.9455 5.6292 6.0154
angles (deg): 90.00 104.95 90.00
Space group C2/m (No. 12)
Symmetry-distinct sites (fractional):
Na 0.0000 0.0000 0.0000 [2 per cell]
Ge 0.0000 0.5000 0.5000 [2 per cell]
Se 0.1912 0.0000 0.6237 [4 per cell]
O 0.1121 0.2443 0.7168 [8 per cell]
O 0.1273 0.5000 0.2803 [4 per cell]
O 0.1563 0.0000 0.3447 [4 per cell]

***

# TmInGe
Calculated powder diffractogram, copper Kα. Input: a GGA-PBE-relaxed structure.
Intensities are scaled so that the largest is 100.

Peak list (10 most intense, 2θ from 10° to 90°, sorted by position)
2theta	I (rel.)	h k l
24.05	8.3	1 0 0
30.83	100.0	1 0 1
42.31	38.7	1 1 0
45.96	24.8	0 1 2
53.26	21.3	0 2 1
58.57	8.5	1 1 2
64.23	9.0	2 0 2
70.26	18.5	2 1 1
75.58	6.7	1 1 3
79.96	9.7	1 2 2

Crystal structure
a b c (Å): 4.2727 4.2727 4.6697
angles (deg): 90.00 90.00 120.00
Space group P3m1 (No. 156)
Symmetry-distinct sites (fractional):
Tm 0.0000 0.0000 0.0000 [1 per cell]
In 0.3333 0.6667 0.5694 [1 per cell]
Ge 0.6667 0.3333 0.3110 [1 per cell]

***

# CeSbSe4
Calculated powder diffractogram, copper Kα. Input: a GGA-PBE-relaxed structure.
Intensities are scaled so that the largest is 100.

Peak list (10 most intense, 2θ from 10° to 90°, sorted by position)
2theta	I (rel.)	h k l
21.22	100.0	1 1 -1
23.04	61.4	1 1 1
29.32	26.2	2 1 0
29.81	26.8	1 0 2
36.04	76.3	0 2 2
36.96	70.6	2 2 0
38.91	45.9	2 0 2
40.91	31.1	1 1 -3
42.56	23.3	3 1 -1
43.46	23.7	1 3 1

Crystal structure
a b c (Å): 6.8181 6.9947 7.1570
angles (deg): 90.00 96.93 90.00
Space group P2_1/c (No. 14)
Symmetry-distinct sites (fractional):
Ce 0.0000 0.0000 0.0000 [2 per cell]
Sb 0.5000 0.0000 0.5000 [2 per cell]
Se 0.1720 0.1832 0.3427 [4 per cell]
Se 0.2915 0.7183 0.2566 [4 per cell]

***

# Tb2Sm6Ag
Calculated powder diffractogram, copper Kα. Input: a GGA-PBE-relaxed structure.
Intensities are scaled so that the largest is 100.

Peak list (10 most intense, 2θ from 10° to 90°, sorted by position)
2theta	I (rel.)	h k l
28.88	17.6	0 2 4
30.28	100.0	1 0 3
30.73	39.2	1 2 1
31.18	78.1	0 3 3
34.97	43.6	0 0 6
35.96	38.7	1 3 0
37.88	17.9	1 3 2
50.59	18.0	2 0 0
51.77	19.6	1 2 7
60.64	23.3	2 3 3

Crystal structure
a b c (Å): 3.6081 10.3793 15.3964
angles (deg): 90.00 90.00 90.00
Space group Immm (No. 71)
Symmetry-distinct sites (fractional):
Tb 0.0000 0.0000 0.1378 [4 per cell]
Sm 0.0000 0.2670 0.5000 [4 per cell]
Sm 0.0000 0.3424 0.1824 [8 per cell]
Ag 0.0000 0.5000 0.0000 [2 per cell]

***

# NaBi7Pb12
Calculated powder diffractogram, copper Kα. Input: a GGA-PBE-relaxed structure.
Intensities are scaled so that the largest is 100.

Peak list (10 most intense, 2θ from 10° to 90°, sorted by position)
2theta	I (rel.)	h k l
22.40	33.3	1 1 3
29.50	22.3	0 1 5
29.64	25.7	2 2 0
31.41	100.0	1 3 1
32.04	42.3	2 1 4
32.94	45.7	4 -1 2
33.11	60.3	2 0 5
34.27	17.6	2 2 3
38.54	20.3	4 -3 4
54.13	20.8	6 -1 4

Crystal structure
a b c (Å): 12.0546 12.0546 15.8184
angles (deg): 90.00 90.00 120.00
Space group R-3 (No. 148, hexagonal axes)
Symmetry-distinct sites (fractional):
Na 0.0000 0.0000 0.0000 [3 per cell]
Bi 0.0000 0.0000 0.5000 [3 per cell]
Bi 0.0489 0.8671 0.8224 [18 per cell]
Pb 0.0058 0.5470 0.6827 [18 per cell]
Pb 0.0413 0.4797 0.0968 [18 per cell]

***

# LiAc4Se6
Calculated powder diffractogram, copper Kα. Input: a GGA-PBE-relaxed structure.
Intensities are scaled so that the largest is 100.

Peak list (10 most intense, 2θ from 10° to 90°, sorted by position)
2theta	I (rel.)	h k l
20.74	49.5	2 0 2
23.32	63.9	1 1 3
25.38	100.0	3 0 0
29.65	34.7	0 2 4
31.19	77.9	1 3 1
33.18	35.9	2 1 4
34.71	89.3	2 2 3
39.21	47.4	2 3 2
44.87	34.3	3 2 4
62.99	34.8	5 3 2

Crystal structure
a b c (Å): 12.1753 12.1753 14.6831
angles (deg): 90.00 90.00 120.00
Space group R-3c (No. 167, hexagonal axes)
Symmetry-distinct sites (fractional):
Li 0.0000 0.0000 0.0000 [6 per cell]
Ac 0.0000 0.0000 0.2500 [6 per cell]
Ac 0.0000 0.3832 0.2500 [18 per cell]
Se 0.0292 0.1991 0.3911 [36 per cell]

***

# Sc5Pt3
Calculated powder diffractogram, copper Kα. Input: a GGA-PBE-relaxed structure.
Intensities are scaled so that the largest is 100.

Peak list (10 most intense, 2θ from 10° to 90°, sorted by position)
2theta	I (rel.)	h k l
23.60	24.7	2 2 0
24.63	100.0	2 1 1
26.43	67.1	3 1 0
36.53	61.6	2 0 2
37.73	49.3	4 2 0
38.41	74.2	4 1 1
47.31	35.1	4 0 2
48.88	74.0	3 3 2
71.18	20.7	7 1 2
72.44	23.7	6 4 2

Crystal structure
a b c (Å): 10.6624 10.6624 5.5442
angles (deg): 90.00 90.00 90.00
Space group I4/mcm (No. 140)
Symmetry-distinct sites (fractional):
Sc 0.0000 0.5000 0.2500 [4 per cell]
Sc 0.0824 0.2129 0.0000 [16 per cell]
Pt 0.0000 0.0000 0.2500 [4 per cell]
Pt 0.1600 0.3400 0.5000 [8 per cell]

***

# SrNdGa4
Calculated powder diffractogram, copper Kα. Input: a GGA-PBE-relaxed structure.
Intensities are scaled so that the largest is 100.

Peak list (10 most intense, 2θ from 10° to 90°, sorted by position)
2theta	I (rel.)	h k l
26.97	28.2	1 0 3
31.36	100.0	1 1 2
35.94	56.8	1 0 5
41.53	44.2	2 0 0
46.59	27.7	1 0 7
50.22	10.1	2 1 3
56.06	30.9	2 1 5
60.18	14.4	2 2 0
64.16	20.8	2 1 7
69.44	19.6	3 1 2

Crystal structure
a b c (Å): 4.3491 4.3491 15.2656
angles (deg): 90.00 90.00 90.00
Space group I-4m2 (No. 119)
Symmetry-distinct sites (fractional):
Sr 0.0000 0.0000 0.0000 [2 per cell]
Nd 0.0000 0.5000 0.7500 [2 per cell]
Ga 0.0000 0.0000 0.4150 [4 per cell]
Ga 0.0000 0.5000 0.1690 [4 per cell]

***

# Na2HS
Calculated powder diffractogram, copper Kα. Input: a GGA-PBE-relaxed structure.
Intensities are scaled so that the largest is 100.

Peak list (10 most intense, 2θ from 10° to 90°, sorted by position)
2theta	I (rel.)	h k l
13.35	57.1	0 2 0
17.97	23.0	0 2 1
27.62	19.1	0 2 2
29.52	12.5	0 4 1
30.58	53.0	1 3 0
34.11	100.0	1 1 2
36.39	38.3	0 4 2
46.62	14.7	2 0 0
59.14	12.8	1 3 4
60.54	15.1	2 4 2

Crystal structure
a b c (Å): 3.8962 13.2671 7.3934
angles (deg): 90.00 90.00 90.00
Space group Cmcm (No. 63)
Symmetry-distinct sites (fractional):
Na 0.0000 0.1262 0.0118 [8 per cell]
H 0.0000 0.4380 0.2500 [4 per cell]
S 0.0000 0.4579 0.7500 [4 per cell]

***

# PrHoTe2Se
Calculated powder diffractogram, copper Kα. Input: a GGA-PBE-relaxed structure.
Intensities are scaled so that the largest is 100.

Peak list (10 most intense, 2θ from 10° to 90°, sorted by position)
2theta	I (rel.)	h k l
28.45	36.4	0 0 5
28.86	100.0	1 1 0
29.43	31.0	1 1 1
33.66	23.4	1 1 3
35.20	33.8	1 0 5
37.01	59.4	1 1 4
41.27	68.0	2 0 0
45.42	23.9	1 1 6
50.88	28.8	2 0 5
59.78	22.7	2 2 0

Crystal structure
a b c (Å): 4.3753 4.3753 15.6881
angles (deg): 90.00 90.00 90.00
Space group P4/nmm (No. 129, origin choice 2)
Symmetry-distinct sites (fractional):
Pr 0.2500 0.2500 0.1330 [2 per cell]
Ho 0.2500 0.2500 0.5900 [2 per cell]
Te 0.2500 0.2500 0.3926 [2 per cell]
Te 0.2500 0.2500 0.7863 [2 per cell]
Se 0.2500 0.7500 0.0000 [2 per cell]

***

# Ba4H2O5
Calculated powder diffractogram, copper Kα. Input: a GGA-PBE-relaxed structure.
Intensities are scaled so that the largest is 100.

Peak list (10 most intense, 2θ from 10° to 90°, sorted by position)
2theta	I (rel.)	h k l
23.65	12.9	0 0 4
26.18	43.7	1 0 1
28.16	45.1	1 0 2
29.69	16.1	0 0 5
31.20	100.0	0 1 3
44.47	32.2	1 0 6
44.94	36.3	1 1 0
54.79	18.2	1 1 5
55.72	18.0	2 0 3
74.27	15.1	1 2 3

Crystal structure
a b c (Å): 4.0345 4.0345 15.0465
angles (deg): 90.00 90.00 120.00
Space group P-3m1 (No. 164)
Symmetry-distinct sites (fractional):
Ba 0.0000 0.0000 0.1803 [2 per cell]
Ba 0.3333 0.6667 0.6063 [2 per cell]
H 0.3333 0.6667 0.9735 [2 per cell]
O 0.0000 0.0000 0.5000 [1 per cell]
O 0.3333 0.6667 0.2874 [2 per cell]
O 0.3333 0.6667 0.9088 [2 per cell]

***

# Ca5Pu3N8
Calculated powder diffractogram, copper Kα. Input: a GGA-PBE-relaxed structure.
Intensities are scaled so that the largest is 100.

Peak list (10 most intense, 2θ from 10° to 90°, sorted by position)
2theta	I (rel.)	h k l
15.64	100.0	0 0 3
30.09	54.0	0 2 1
31.47	79.9	2 0 2
31.62	26.8	0 0 6
36.54	85.4	0 2 4
39.96	23.3	2 0 5
52.53	29.2	2 2 0
52.74	28.2	2 0 8
55.17	21.2	2 2 3
62.59	36.7	2 2 6

Crystal structure
a b c (Å): 6.9679 6.9679 16.9769
angles (deg): 90.00 90.00 120.00
Space group R-3m (No. 166, hexagonal axes)
Symmetry-distinct sites (fractional):
Ca 0.0000 0.0000 0.0000 [3 per cell]
Ca 0.0000 0.0000 0.5000 [3 per cell]
Ca 0.0000 0.5000 0.0000 [9 per cell]
Pu 0.0000 0.5000 0.5000 [9 per cell]
N 0.0000 0.0000 0.2413 [6 per cell]
N 0.0242 0.5121 0.7623 [18 per cell]

***

# La2Zn3Pt4
Calculated powder diffractogram, copper Kα. Input: a GGA-PBE-relaxed structure.
Intensities are scaled so that the largest is 100.

Peak list (10 most intense, 2θ from 10° to 90°, sorted by position)
2theta	I (rel.)	h k l
25.26	27.3	0 4 1
34.34	79.9	1 5 1
35.39	53.3	2 2 1
35.86	25.3	0 6 1
37.19	49.9	0 2 3
39.42	100.0	2 0 2
41.50	35.1	0 6 2
46.73	22.2	2 6 0
57.68	19.3	3 5 1
69.06	18.6	2 6 4

Crystal structure
a b c (Å): 5.7167 15.9093 7.6139
angles (deg): 90.00 90.00 90.00
Space group Cmce (No. 64)
Symmetry-distinct sites (fractional):
La 0.0000 0.1130 0.0826 [8 per cell]
Zn 0.0000 0.0000 0.5000 [4 per cell]
Zn 0.2500 0.2272 0.7500 [8 per cell]
Pt 0.0000 0.1774 0.4747 [8 per cell]
Pt 0.2500 0.0616 0.7500 [8 per cell]